[1]
Calculated XRD peak list
Compound: SbPH2F10
Radiation: CuKα
Structure: DFT lattice parameters and positions (PBE)

Principal peaks in the range 2θ from 10° to 90°, low angle first:
Position (°2θ)	I (rel.)
13.6	27
16.4	27
17.6	32
20.4	65
21.4	79
22.7	100

Structural model:
Cell: 5.7897 10.8157 13.2240 Å, 90.00 100.99 90.00°
Space group P2_1/c (No. 14)
Inequivalent atoms, fractional coordinates:
Sb1 0.1122 0.2462 0.4637 x4
P1 0.4334 0.5359 0.7858 x4
H1 0.2810 0.6062 0.3840 x4
H2 0.3711 0.5272 0.1594 x4
F1 0.0101 0.1832 0.8304 x4
F2 0.1124 0.6147 0.0700 x4
F3 0.1167 0.6594 0.4802 x4
F4 0.2235 0.1740 0.5975 x4
F5 0.2526 0.0466 0.2193 x4
F6 0.3023 0.6031 0.8590 x4
F7 0.3087 0.5962 0.3157 x4
F8 0.3382 0.1248 0.9974 x4
F9 0.3387 0.1459 0.4109 x4
F10 0.4947 0.6348 0.7136 x4

[2]
Calculated XRD peak list
Compound: SbPH2F10
Radiation: CuKα
Structure: DFT lattice parameters and positions (PBE)

Principal peaks in the range 2θ from 10° to 90°, low angle first:
Position (°2θ)	I (rel.)
13.0	42
15.7	52
17.9	37
20.4	100
20.7	74
28.7	40

Structural model:
Cell: 5.5874 11.2981 13.7916 Å, 90.00 98.40 90.00°
Space group P2_1/c (No. 14)
Inequivalent atoms, fractional coordinates:
Sb1 0.1531 0.2468 0.4747 x4
P1 0.4200 0.5608 0.7860 x4
H1 0.2379 0.5929 0.2000 x4
H2 0.3045 0.6407 0.4856 x4
F1 0.0604 0.1750 0.8551 x4
F2 0.1108 0.6391 0.0512 x4
F3 0.1263 0.6303 0.4779 x4
F4 0.2028 0.2118 0.6096 x4
F5 0.2284 0.0225 0.2219 x4
F6 0.2349 0.6354 0.8398 x4
F7 0.2420 0.6056 0.2679 x4
F8 0.3720 0.1362 0.4345 x4
F9 0.4100 0.1349 0.0043 x4
F10 0.4518 0.6543 0.7015 x4